The following is a calculated powder diffraction line list of Cd2GaMoO6. It was derived from a cell relaxed with GGA+U, using Cu Kα (weighted mean of Kα1 and Kα2).

Atomic structure:
a = 5.2587 Å, b = 5.2587 Å, c = 4.9629 Å
α = 90.00°, β = 90.00°, γ = 90.00°
Space group P4mm (No. 99)
Unique sites:
1 Cd 0.0000 0.5000 0.0000 (multiplicity 2)
2 Ga 0.0000 0.0000 0.5750 (multiplicity 1)
3 Mo 0.5000 0.5000 0.5714 (multiplicity 1)
4 O 0.0000 0.0000 0.2039 (multiplicity 1)
5 O 0.2514 0.2514 0.7136 (multiplicity 4)
6 O 0.5000 0.5000 0.2115 (multiplicity 1)

The 10 most intense peaks (2θ = 10–90°), sorted by position:
Position (°2θ)  I_rel  index
17.87  11  0 0 1
30.03  100  1 1 1
34.10  34  2 0 0
36.20  10  0 0 2
43.86  11  1 1 2
48.99  21  2 2 0
50.58  23  2 0 2
58.54  29  3 1 1
61.33  10  1 1 3
81.90  9  4 2 0